Entry 1:
Na3Mn2P2C2O14: simulated powder diffractogram (Cu Kα, 1.54184 Å), based on the PBE+U geometry in the Materials Project.
Neutral-atom scattering factors, no anomalous dispersion.

Cell and atoms:
```
Na3Mn2P2C2O14
1.0
5.227 0.000 0.000
-0.296 9.028 0.000
-0.058 -0.245 13.166
Na Mn P C O
6 4 4 4 28
Direct
0.241 0.255 0.482 Na
0.244 0.264 0.002 Na
0.247 0.264 0.756 Na
0.753 0.736 0.244 Na
0.756 0.736 0.998 Na
0.759 0.745 0.518 Na
0.215 0.846 0.869 Mn
0.216 0.849 0.375 Mn
0.784 0.151 0.625 Mn
0.785 0.154 0.131 Mn
0.281 0.927 0.122 P
0.284 0.927 0.626 P
0.716 0.073 0.374 P
0.719 0.073 0.878 P
0.268 0.579 0.875 C
0.271 0.581 0.374 C
0.729 0.419 0.626 C
0.732 0.421 0.125 C
0.046 0.642 0.872 O
0.047 0.646 0.372 O
0.132 0.072 0.120 O
0.140 0.076 0.626 O
0.209 0.828 0.534 O
0.213 0.832 0.214 O
0.218 0.834 0.719 O
0.221 0.827 0.027 O
0.298 0.443 0.880 O
0.299 0.447 0.376 O
0.423 0.032 0.380 O
0.423 0.033 0.876 O
0.459 0.678 0.871 O
0.463 0.682 0.375 O
0.537 0.318 0.625 O
0.541 0.322 0.129 O
0.577 0.967 0.124 O
0.577 0.968 0.620 O
0.701 0.553 0.624 O
0.702 0.557 0.120 O
0.779 0.173 0.973 O
0.782 0.166 0.281 O
0.787 0.168 0.786 O
0.791 0.172 0.466 O
0.860 0.924 0.374 O
0.868 0.928 0.880 O
0.953 0.354 0.628 O
0.954 0.358 0.128 O
```

Top 10 peaks for 2θ from 10° to 90°, sorted by position:
| 2θ/deg | Rel. int. | hkl |
| --- | --- | --- |
| 16.52 | 54 | 0 1 -2 |
| 16.82 | 54 | 0 1 2 |
| 19.35 | 38 | 1 -1 0 |
| 19.92 | 44 | 1 1 0 |
| 24.26 | 40 | 1 1 2 |
| 25.66 | 84 | 1 -2 0 |
| 27.09 | 100 | 0 0 4 |
| 33.61 | 38 | -1 1 4 |
| 34.04 | 38 | 0 2 4 |
| 34.33 | 59 | 2 0 0 |

Entry 2:
Li4Ti2V3Co3O16: simulated powder diffractogram (Cu Kα, 1.54184 Å), based on the PBE+U geometry in the Materials Project.
Neutral-atom scattering factors, no anomalous dispersion.

Cell and atoms:
```
Li4Ti2V3Co3O16
1.0
5.883 0.000 0.000
2.909 5.127 0.000
0.066 0.027 9.586
Li Ti V Co O
4 2 3 3 16
Direct
0.000 0.000 0.000 Li
0.005 0.998 0.499 Li
0.335 0.322 0.402 Li
0.672 0.664 0.899 Li
0.315 0.343 0.004 Ti
0.671 0.668 0.506 Ti
0.660 0.168 0.728 V
0.807 0.346 0.224 V
0.821 0.824 0.225 V
0.174 0.173 0.719 Co
0.178 0.654 0.720 Co
0.338 0.833 0.216 Co
0.047 0.475 0.848 O
0.150 0.184 0.102 O
0.165 0.662 0.096 O
0.340 0.822 0.598 O
0.357 0.311 0.611 O
0.485 0.476 0.844 O
0.490 0.037 0.848 O
0.533 0.950 0.353 O
0.536 0.494 0.344 O
0.661 0.171 0.103 O
0.694 0.662 0.106 O
0.831 0.334 0.598 O
0.840 0.823 0.604 O
0.964 0.516 0.345 O
0.983 0.998 0.310 O
0.994 0.010 0.809 O
```

Top 10 peaks for 2θ from 10° to 90°, sorted by position:
| 2θ/deg | Rel. int. | hkl |
| --- | --- | --- |
| 18.51 | 91 | 0 0 2 |
| 19.66 | 100 | 1 0 -1 |
| 25.43 | 26 | 1 1 2 |
| 33.01 | 32 | 1 0 3 |
| 35.64 | 27 | 1 2 2 |
| 36.28 | 36 | 0 2 1 |
| 39.87 | 30 | 2 0 2 |
| 45.30 | 25 | 2 0 3 |
| 45.41 | 27 | 2 2 3 |
| 60.20 | 29 | 2 2 5 |